1.
The following is a computed PXRD pattern of HoTl2GaBr6. It was derived from a cell relaxed with GGA-PBE, using Cu Kα (λ = 1.5418 Å).
Intensities are scaled so that the largest is 100.

The 10 most intense peaks (10° ≤ 2θ ≤ 90°), by intensity:
2theta	Rel. int.
31.2	100.0
21.7	95.1
34.7	93.7
22.2	71.3
38.9	68.1
25.8	67.3
38.6	60.8
15.5	43.3
27.1	40.8
46.6	32.7

```
HoTl2GaBr6
1.0
4.012 2.316 6.766
-4.012 2.316 6.766
0.000 -4.633 6.766
Ho Tl Ga Br
1 2 1 6
Cartesian
0.000 0.000 0.000 Ho
0.000 0.000 4.295 Tl
0.000 0.000 14.282 Tl
0.000 0.000 9.999 Ga
-2.603 0.581 8.494 Br
-1.721 -1.853 12.017 Br
0.799 -2.545 8.494 Br
-0.744 2.417 12.017 Br
1.805 1.964 8.494 Br
2.465 -0.564 12.017 Br
```

2.
The following is a computed PXRD pattern of Ga2PbI2Br6. It was derived from a cell relaxed with GGA-PBE, using Cu Kα (λ = 1.5418 Å).
Intensities are scaled so that the largest is 100.

The 10 most intense peaks (10° ≤ 2θ ≤ 90°), by intensity:
2theta	Rel. int.
16.2	100.0
29.2	42.5
44.9	32.4
44.4	31.8
26.5	30.8
20.4	30.3
30.4	30.1
40.1	24.5
25.8	23.2
32.1	21.6

```
Ga2PbI2Br6
1.0
6.990 0.000 0.000
-3.495 6.054 0.000
0.000 0.000 12.582
Ga Pb I Br
2 1 2 6
Cartesian
0.000 4.036 3.579 Ga
3.495 2.018 9.003 Ga
0.000 0.000 6.291 Pb
0.000 4.036 1.085 I
3.495 2.018 11.498 I
-2.237 3.901 4.475 Br
1.235 2.165 4.475 Br
2.493 0.013 8.108 Br
1.002 6.040 4.475 Br
2.260 3.888 8.108 Br
5.732 2.152 8.108 Br
```